Simulated XRD peak list of Na2VO3 for Cu Kα (weighted mean of Kα1 and Kα2), from a GGA+U-relaxed structure.
Lines closer than 0.1° are merged.

Peak list (10 most intense, 2θ = 10–90°, in order of rising 2θ)
| 2θ/deg | I/Imax |
| --- | --- |
| 17.59 | 57 |
| 29.56 | 11 |
| 34.22 | 25 |
| 35.32 | 23 |
| 40.15 | 57 |
| 40.48 | 100 |
| 57.09 | 12 |
| 58.33 | 56 |
| 60.04 | 12 |
| 72.08 | 11 |

Cell and atoms:
a = 10.2788 Å, b = 5.5307 Å, c = 9.7923 Å
α = 78.92°, β = 31.87°, γ = 69.21°
Element x y z (fractional)
Na1 0.0052 0.4948 0.0059
Na2 0.0886 0.9098 0.0679
Na3 0.1821 0.3163 0.1614
Na4 0.2441 0.7559 0.2448
Na5 0.3163 0.1821 0.3402
Na6 0.4948 0.0052 0.4941
Na7 0.7559 0.2441 0.7552
Na8 0.9098 0.0886 0.9337
V1 0.3880 0.6048 0.4398
V2 0.6048 0.3880 0.5675
V3 0.6825 0.8102 0.6452
V4 0.8102 0.6825 0.8620
O1 0.0826 0.8746 0.6029
O2 0.1369 0.4047 0.6689
O3 0.2977 0.7025 0.6920
O4 0.4047 0.1369 0.7894
O5 0.4606 0.5811 0.8453
O6 0.5580 0.9421 0.9523
O7 0.5811 0.4606 0.1131
O8 0.6471 0.8101 0.1674
O9 0.7025 0.2977 0.3079
O10 0.8101 0.6471 0.3754
O11 0.8746 0.0826 0.4399
O12 0.9421 0.5580 0.5475